MgFeSiO4: theoretical powder diffractogram (copper Kα), based on a PBE+U-relaxed structure.

The 8 most intense peaks (5 to 70 degrees two-theta), low angle first:
- 2θ 17.0, 5.222 Å, I 535, (2 0 0)
- 2θ 20.1, 4.417 Å, I 204, (1 0 1)
- 2θ 22.5, 3.958 Å, I 249, (2 1 0)
- 2θ 31.6, 2.833 Å, I 688, (3 0 1)
- 2θ 35.0, 2.567 Å, I 260, (3 1 1)
- 2θ 35.9, 2.501 Å, I 1000, (1 2 1)
- 2θ 51.2, 1.785 Å, I 519, (2 2 2)
- 2θ 61.4, 1.510 Å, I 251, (6 2 0)

Crystal structure
abc: 10.4439 6.0671 4.8738
angles: 90.00 90.00 90.00
Space group Pnma (No. 62)
Asymmetric unit:
Mg1 0.2222 0.2500 0.0072 (multiplicity 4)
Fe1 0.0000 0.0000 0.5000 (multiplicity 4)
Si1 0.0976 0.7500 0.0710 (multiplicity 4)
O1 0.0502 0.2500 0.7966 (multiplicity 4)
O2 0.0973 0.7500 0.7333 (multiplicity 4)
O3 0.1670 0.5346 0.2156 (multiplicity 8)